Entry 1:
Structure and computed XRD peak list of K2BeAu5 (a crystal structure in Alexandria, relaxed with PBE; Cu Kα X-rays).

Cell and atoms:
Unit cell a=6.761 b=6.761 c=6.516 alpha=117.98 beta=117.98 gamma=49.22
Fractional coordinates of all 8 atoms:
1 K 0.000 0.000 0.000
2 K 0.024 0.024 0.526
3 Be 0.353 0.353 0.869
4 Au 0.016 0.516 0.041
5 Au 0.022 0.518 0.521
6 Au 0.516 0.016 0.041
7 Au 0.518 0.022 0.521
8 Au 0.574 0.574 0.106

Principal peaks in the range 10° ≤ 2θ ≤ 90°, low angle first:
| two_theta | I (rel.) |
| --- | --- |
| 16.8 | 97.5 |
| 27.4 | 24.4 |
| 32.1 | 63.6 |
| 32.6 | 67.6 |
| 34.1 | 46.8 |
| 36.2 | 100.0 |
| 42.4 | 69.6 |
| 47.3 | 23.2 |
| 55.2 | 21.0 |
| 55.8 | 24.4 |

Entry 2:
Structure and computed XRD peak list of Na7Cu12S10 (a crystal structure in Alexandria, relaxed with PBE; Cu Kα X-rays).

Cell and atoms:
Unit cell a=16.235 b=3.786 c=16.284 alpha=90.00 beta=90.40 gamma=90.00
Fractional coordinates of all 58 atoms:
1 Na 0.000 0.000 0.000
2 Na 0.106 0.500 0.696
3 Na 0.185 0.500 0.896
4 Na 0.220 0.000 0.405
5 Na 0.298 0.000 0.605
6 Na 0.302 0.500 0.083
7 Na 0.381 0.500 0.290
8 Na 0.500 0.000 0.000
9 Na 0.619 0.500 0.710
10 Na 0.698 0.500 0.917
11 Na 0.702 0.000 0.395
12 Na 0.780 0.000 0.595
13 Na 0.815 0.500 0.104
14 Na 0.894 0.500 0.304
15 Cu 0.009 0.000 0.419
16 Cu 0.024 0.500 0.153
17 Cu 0.052 0.000 0.267
18 Cu 0.088 0.500 0.498
19 Cu 0.149 0.000 0.135
20 Cu 0.175 0.500 0.247
21 Cu 0.313 0.000 0.804
22 Cu 0.389 0.500 0.890
23 Cu 0.412 0.500 0.722
24 Cu 0.426 0.000 0.449
25 Cu 0.453 0.500 0.566
26 Cu 0.485 0.000 0.804
27 Cu 0.515 0.000 0.196
28 Cu 0.547 0.500 0.434
29 Cu 0.574 0.000 0.551
30 Cu 0.588 0.500 0.278
31 Cu 0.611 0.500 0.110
32 Cu 0.687 0.000 0.196
33 Cu 0.825 0.500 0.753
34 Cu 0.851 0.000 0.865
35 Cu 0.912 0.500 0.502
36 Cu 0.948 0.000 0.733
37 Cu 0.976 0.500 0.847
38 Cu 0.991 0.000 0.581
39 S 0.056 0.000 0.825
40 S 0.077 0.500 0.354
41 S 0.126 0.500 0.058
42 S 0.130 0.000 0.562
43 S 0.256 0.000 0.232
44 S 0.273 0.500 0.736
45 S 0.326 0.000 0.945
46 S 0.347 0.500 0.471
47 S 0.470 0.500 0.136
48 S 0.477 0.000 0.656
49 S 0.523 0.000 0.344
50 S 0.530 0.500 0.864
51 S 0.653 0.500 0.529
52 S 0.674 0.000 0.055
53 S 0.727 0.500 0.264
54 S 0.744 0.000 0.768
55 S 0.870 0.000 0.438
56 S 0.874 0.500 0.942
57 S 0.923 0.500 0.646
58 S 0.944 0.000 0.175

Principal peaks in the range 10° ≤ 2θ ≤ 90°, low angle first:
| two_theta | I (rel.) |
| --- | --- |
| 10.9 | 57.1 |
| 12.2 | 100.0 |
| 16.3 | 23.0 |
| 36.4 | 25.7 |
| 36.5 | 18.7 |
| 38.2 | 27.0 |
| 41.3 | 18.1 |
| 46.2 | 23.2 |
| 46.3 | 15.4 |
| 48.1 | 26.7 |

Entry 3:
Structure and computed XRD peak list of Pr4Sm3Ho4 (a crystal structure in Alexandria, relaxed with PBE; Cu Kα X-rays).

Cell and atoms:
Unit cell a=20.167 b=20.167 c=20.167 alpha=169.68 beta=165.44 gamma=17.88
Fractional coordinates of all 11 atoms:
1 Pr 0.046 0.046 0.000
2 Pr 0.317 0.317 0.000
3 Pr 0.683 0.683 0.000
4 Pr 0.954 0.954 0.000
5 Sm 0.136 0.136 0.000
6 Sm 0.500 0.500 0.000
7 Sm 0.864 0.864 0.000
8 Ho 0.228 0.228 0.000
9 Ho 0.408 0.408 0.000
10 Ho 0.592 0.592 0.000
11 Ho 0.772 0.772 0.000

Principal peaks in the range 10° ≤ 2θ ≤ 90°, low angle first:
| two_theta | I (rel.) |
| --- | --- |
| 30.2 | 100.0 |
| 35.0 | 33.8 |
| 35.1 | 16.8 |
| 50.4 | 30.1 |
| 59.9 | 28.7 |
| 60.0 | 14.3 |
| 62.8 | 6.3 |
| 62.9 | 6.2 |
| 82.1 | 14.6 |
| 84.6 | 8.2 |

Entry 4:
Structure and computed XRD peak list of HoSc2Ga6 (a crystal structure in Alexandria, relaxed with PBE; Cu Kα X-rays).

Cell and atoms:
Unit cell a=7.550 b=7.550 c=7.550 alpha=148.01 beta=126.36 gamma=63.83
Fractional coordinates of all 9 atoms:
1 Ho 0.000 0.000 0.000
2 Sc 0.379 0.879 0.500
3 Sc 0.621 0.121 0.500
4 Ga 0.007 0.310 0.696
5 Ga 0.314 0.500 0.814
6 Ga 0.386 0.690 0.696
7 Ga 0.614 0.310 0.304
8 Ga 0.686 0.500 0.186
9 Ga 0.993 0.690 0.304

Principal peaks in the range 10° ≤ 2θ ≤ 90°, low angle first:
| two_theta | I (rel.) |
| --- | --- |
| 28.7 | 79.1 |
| 29.7 | 23.5 |
| 30.0 | 21.4 |
| 34.7 | 100.0 |
| 37.8 | 42.6 |
| 42.3 | 20.1 |
| 43.5 | 37.0 |
| 45.2 | 47.3 |
| 49.6 | 36.1 |
| 64.5 | 31.6 |

Entry 5:
Structure and computed XRD peak list of Pa2TlAg2O7 (a crystal structure in Alexandria, relaxed with PBE; Cu Kα X-rays).

Cell and atoms:
Unit cell a=10.751 b=10.751 c=10.751 alpha=156.79 beta=156.06 gamma=33.59
Fractional coordinates of all 12 atoms:
1 Pa 0.107 0.107 0.000
2 Pa 0.893 0.893 0.000
3 Tl 0.500 0.500 0.000
4 Ag 0.273 0.773 0.500
5 Ag 0.727 0.227 0.500
6 O 0.000 0.000 0.000
7 O 0.104 0.604 0.500
8 O 0.216 0.216 0.000
9 O 0.392 0.892 0.500
10 O 0.608 0.108 0.500
11 O 0.784 0.784 0.000
12 O 0.896 0.396 0.500

Principal peaks in the range 10° ≤ 2θ ≤ 90°, low angle first:
| two_theta | I (rel.) |
| --- | --- |
| 23.8 | 23.4 |
| 24.3 | 62.4 |
| 28.8 | 27.4 |
| 29.5 | 86.7 |
| 30.0 | 100.0 |
| 40.5 | 33.0 |
| 41.8 | 30.1 |
| 47.8 | 20.7 |
| 52.0 | 37.5 |
| 53.4 | 24.5 |

Entry 6:
Structure and computed XRD peak list of Sm4Ge3 (a crystal structure in Alexandria, relaxed with PBE; Cu Kα X-rays).

Cell and atoms:
Unit cell a=7.845 b=7.845 c=7.845 alpha=109.47 beta=109.47 gamma=109.47
Fractional coordinates of all 14 atoms:
1 Sm 0.000 0.130 0.500
2 Sm 0.000 0.630 0.500
3 Sm 0.130 0.500 0.000
4 Sm 0.370 0.370 0.370
5 Sm 0.500 0.000 0.130
6 Sm 0.500 0.000 0.630
7 Sm 0.630 0.500 0.000
8 Sm 0.870 0.870 0.870
9 Ge 0.125 0.875 0.250
10 Ge 0.250 0.125 0.875
11 Ge 0.375 0.625 0.750
12 Ge 0.625 0.750 0.375
13 Ge 0.750 0.375 0.625
14 Ge 0.875 0.250 0.125

Principal peaks in the range 10° ≤ 2θ ≤ 90°, low angle first:
| two_theta | I (rel.) |
| --- | --- |
| 24.1 | 10.4 |
| 27.9 | 16.8 |
| 31.2 | 100.0 |
| 37.1 | 59.3 |
| 49.3 | 17.9 |
| 51.4 | 34.5 |
| 63.3 | 21.3 |
| 65.1 | 11.3 |
| 66.9 | 14.2 |
| 77.4 | 14.9 |

Entry 7:
Structure and computed XRD peak list of Ho2MgSc4 (a crystal structure in Alexandria, relaxed with PBE; Cu Kα X-rays).

Cell and atoms:
Unit cell a=16.938 b=16.938 c=3.304 alpha=90.00 beta=90.00 gamma=168.78
Fractional coordinates of all 7 atoms:
1 Ho 0.204 0.796 0.000
2 Ho 0.796 0.204 0.000
3 Mg 0.500 0.500 0.500
4 Sc 0.066 0.934 0.000
5 Sc 0.367 0.633 0.500
6 Sc 0.633 0.367 0.500
7 Sc 0.934 0.066 0.000

Principal peaks in the range 10° ≤ 2θ ≤ 90°, low angle first:
| two_theta | I (rel.) |
| --- | --- |
| 27.0 | 36.2 |
| 27.5 | 34.4 |
| 30.1 | 47.2 |
| 32.8 | 100.0 |
| 34.5 | 61.8 |
| 38.6 | 35.8 |
| 39.4 | 35.1 |
| 40.8 | 31.2 |
| 43.0 | 31.9 |
| 56.8 | 42.2 |

Entry 8:
Structure and computed XRD peak list of Tb3Co4Sn13 (a crystal structure in Alexandria, relaxed with PBE; Cu Kα X-rays).

Cell and atoms:
Unit cell a=9.561 b=9.561 c=9.561 alpha=90.00 beta=90.00 gamma=90.00
Fractional coordinates of all 40 atoms:
1 Tb 0.000 0.250 0.500
2 Tb 0.000 0.750 0.500
3 Tb 0.250 0.500 0.000
4 Tb 0.500 0.000 0.250
5 Tb 0.500 0.000 0.750
6 Tb 0.750 0.500 0.000
7 Co 0.250 0.250 0.250
8 Co 0.250 0.250 0.750
9 Co 0.250 0.750 0.250
10 Co 0.250 0.750 0.750
11 Co 0.750 0.250 0.250
12 Co 0.750 0.250 0.750
13 Co 0.750 0.750 0.250
14 Co 0.750 0.750 0.750
15 Sn 0.000 0.000 0.000
16 Sn 0.000 0.304 0.158
17 Sn 0.000 0.304 0.842
18 Sn 0.000 0.696 0.158
19 Sn 0.000 0.696 0.842
20 Sn 0.158 0.000 0.304
21 Sn 0.158 0.000 0.696
22 Sn 0.196 0.500 0.342
23 Sn 0.196 0.500 0.658
24 Sn 0.304 0.158 0.000
25 Sn 0.304 0.842 0.000
26 Sn 0.342 0.196 0.500
27 Sn 0.342 0.804 0.500
28 Sn 0.500 0.342 0.196
29 Sn 0.500 0.342 0.804
30 Sn 0.500 0.500 0.500
31 Sn 0.500 0.658 0.196
32 Sn 0.500 0.658 0.804
33 Sn 0.658 0.196 0.500
34 Sn 0.658 0.804 0.500
35 Sn 0.696 0.158 0.000
36 Sn 0.696 0.842 0.000
37 Sn 0.804 0.500 0.342
38 Sn 0.804 0.500 0.658
39 Sn 0.842 0.000 0.304
40 Sn 0.842 0.000 0.696

Principal peaks in the range 10° ≤ 2θ ≤ 90°, low angle first:
| two_theta | I (rel.) |
| --- | --- |
| 33.8 | 100.0 |
| 35.1 | 36.5 |
| 37.6 | 18.0 |
| 38.8 | 11.5 |
| 46.5 | 10.9 |
| 56.1 | 13.2 |
| 59.6 | 17.1 |
| 64.7 | 9.4 |
| 68.7 | 10.8 |
| 71.9 | 7.4 |